Entry 1:
The following is a computed powder XRD pattern of ZrBC. It was derived from a structure optimized by DFT (GGA-PBE), using copper Kα.

Peak list (8 most intense, 10 to 90 degrees two-theta, low angle first)
Position (°2θ)  Rel. int.  h k l
23.2  42  0 0 2
34.9  59  1 0 0
42.3  100  1 0 2
60.2  24  1 0 4
62.7  17  1 1 0
67.7  14  1 1 2
78.6  15  2 0 2
82.1  15  1 1 4

```
6
Lattice="2.965 0.000 0.000 -1.483 2.568 0.000 0.000 0.000 7.682" Properties=species:S:1:pos:R:3 pbc="T T T"
Zr 0.000 0.000 0.000
Zr 0.000 0.000 3.841
B 0.000 1.712 1.921
B 1.483 0.856 5.762
C 0.000 1.712 5.762
C 1.483 0.856 1.921
```

=====

Entry 2:
The following is a computed powder XRD pattern of CaB2. It was derived from a structure optimized by DFT (GGA-PBE), using copper Kα.

Peak list (8 most intense, 10 to 90 degrees two-theta, low angle first)
Position (°2θ)  Rel. int.  h k l
21.9  18  0 0 1
32.0  41  1 0 0
39.1  100  1 0 1
44.6  14  0 0 2
55.9  16  1 0 2
57.1  19  1 1 0
71.4  14  2 0 1
75.2  16  1 1 2

```
3
Lattice="3.226 0.000 0.000 -1.613 2.794 0.000 0.000 0.000 4.067" Properties=species:S:1:pos:R:3 pbc="T T T"
Ca 0.000 0.000 0.000
B 0.000 1.863 2.034
B 1.613 0.931 2.034
```

=====

Entry 3:
The following is a computed powder XRD pattern of CaCu2B2H8Cl2O8. It was derived from a structure optimized by DFT (GGA-PBE), using copper Kα.

Peak list (8 most intense, 10 to 90 degrees two-theta, low angle first)
Position (°2θ)  Rel. int.  h k l
19.8  27  0 1 1
20.1  98  1 0 -1
28.2  100  0 0 2
32.4  37  2 0 1
34.9  40  -1 1 2
35.4  35  2 1 1
40.3  34  0 2 2
55.4  38  3 1 -2

```
23
Lattice="6.144 0.000 0.000 0.001 6.326 0.000 0.003 0.004 6.340" Properties=species:S:1:pos:R:3 pbc="T T T"
Ca 0.000 0.000 0.000
Cu 1.693 0.003 3.168
Cu 4.458 3.168 6.336
B 3.074 0.006 6.337
B 3.073 3.167 3.167
H 1.622 2.403 1.934
H 1.623 3.931 4.401
H 2.550 1.487 5.050
H 2.551 4.847 1.284
H 3.596 1.284 1.481
H 3.599 5.049 4.852
H 4.523 1.934 3.931
H 4.523 4.399 2.402
Cl 0.561 3.171 6.337
Cl 5.587 0.003 3.162
O 2.148 0.647 5.377
O 2.148 5.687 0.958
O 2.263 2.062 2.597
O 2.264 4.272 3.738
O 3.881 2.597 4.272
O 3.881 3.737 2.061
O 3.996 0.964 0.638
O 4.000 5.372 5.694
```

=====

Entry 4:
The following is a computed powder XRD pattern of Ca2BN2Cl. It was derived from a structure optimized by DFT (GGA-PBE), using copper Kα.

Peak list (8 most intense, 10 to 90 degrees two-theta, low angle first)
Position (°2θ)  Rel. int.  h k l
21.1  18  1 0 2
31.1  100  1 1 2
32.1  40  4 0 1
33.9  37  2 1 2
38.4  24  1 1 3
39.7  14  5 0 1
46.2  23  5 1 1
46.3  27  0 2 0

```
24
Lattice="11.731 0.000 0.000 0.000 3.920 0.000 0.000 0.000 9.045" Properties=species:S:1:pos:R:3 pbc="T T T"
Ca 1.058 0.980 0.980
Ca 1.998 0.980 4.981
Ca 3.868 2.940 0.459
Ca 4.807 2.940 5.502
Ca 6.923 0.980 3.542
Ca 7.863 0.980 8.586
Ca 9.733 2.940 4.063
Ca 10.673 2.940 8.065
B 1.941 2.940 7.400
B 3.924 0.980 2.878
B 7.807 2.940 6.166
B 9.789 0.980 1.644
N 1.436 2.940 8.657
N 2.498 2.940 6.182
N 3.368 0.980 1.659
N 4.429 0.980 4.135
N 7.302 2.940 4.910
N 8.363 2.940 7.385
N 9.233 0.980 2.863
N 10.294 0.980 0.387
Cl 0.718 2.940 3.142
Cl 5.148 0.980 7.664
Cl 6.583 2.940 1.380
Cl 11.013 0.980 5.903
```

=====

Entry 5:
The following is a computed powder XRD pattern of Ca2BClO3. It was derived from a structure optimized by DFT (GGA-PBE), using copper Kα.

Peak list (8 most intense, 10 to 90 degrees two-theta, low angle first)
Position (°2θ)  Rel. int.  h k l
21.5  28  0 2 1
29.0  69  0 0 4
30.5  53  1 2 -1
32.4  100  1 2 1
35.3  52  1 2 -3
41.3  28  0 4 0
46.1  31  2 0 -2
51.2  37  0 4 4

```
28
Lattice="3.984 0.000 0.000 0.000 8.754 0.000 -2.242 0.000 12.314" Properties=species:S:1:pos:R:3 pbc="T T T"
Ca 0.418 1.058 1.435
Ca -0.703 3.319 7.592
Ca 0.511 5.410 1.718
Ca -0.610 7.721 7.875
Ca 2.352 1.033 4.439
Ca 1.231 3.344 10.596
Ca 2.445 5.435 4.722
Ca 1.324 7.696 10.879
B -1.056 1.169 10.397
B 0.065 3.207 4.240
B 1.677 5.546 8.074
B 2.798 7.584 1.917
Cl -0.852 5.473 11.241
Cl 0.269 7.658 5.084
Cl 1.473 1.096 7.230
Cl 2.594 3.281 1.073
O -2.003 1.234 11.422
O -0.882 3.143 5.264
O 0.438 2.017 3.631
O -0.683 2.360 9.788
O 0.500 4.468 3.847
O -0.621 8.662 10.004
O 2.363 0.091 2.310
O 1.242 4.285 8.468
O 2.425 6.394 2.527
O 1.304 6.737 8.684
O 2.624 5.611 7.050
O 3.745 7.519 0.893
```

=====

Entry 6:
The following is a computed powder XRD pattern of Ca2B3ClO8. It was derived from a structure optimized by DFT (GGA-PBE), using copper Kα.

Peak list (8 most intense, 10 to 90 degrees two-theta, low angle first)
Position (°2θ)  Rel. int.  h k l
14.2  85  0 0 2
16.1  77  1 1 0
25.2  74  2 1 -1
26.6  44  1 2 0
33.8  100  1 2 -3
34.0  44  2 1 3
34.9  62  1 2 3
39.6  60  3 1 -3

```
56
Lattice="8.312 0.000 0.000 0.000 7.333 0.000 -1.019 0.000 12.498" Properties=species:S:1:pos:R:3 pbc="T T T"
Ca 0.058 1.131 2.535
Ca -0.452 2.535 8.784
Ca 2.581 4.780 9.272
Ca 3.091 6.219 3.023
Ca 4.202 1.114 9.475
Ca 4.712 2.553 3.226
Ca 7.745 4.797 3.714
Ca 7.235 6.202 9.963
B 0.170 5.318 7.242
B 0.679 5.681 0.993
B 0.490 4.277 11.624
B 0.999 6.723 5.375
B 1.827 7.329 7.651
B 2.337 3.670 1.402
B 5.466 0.003 4.847
B 4.956 3.663 11.096
B 6.294 0.610 7.123
B 6.803 3.056 0.874
B 6.614 1.652 11.505
B 7.123 2.014 5.256
Cl 2.994 4.032 4.807
Cl 2.484 6.967 11.056
Cl 4.809 0.366 1.442
Cl 4.299 3.300 7.691
O -0.512 1.133 10.877
O -0.002 2.533 4.628
O -0.409 5.235 12.116
O 0.101 5.764 5.867
O 0.533 4.142 10.269
O 1.042 6.858 4.020
O 1.281 4.642 1.904
O 0.772 6.357 8.153
O 0.985 4.147 7.510
O 1.495 6.852 1.261
O 1.573 1.236 8.347
O 2.083 2.430 2.098
O 1.823 0.114 6.211
O 1.314 3.552 12.460
O 3.600 4.162 1.930
O 3.090 6.837 8.179
O 4.203 0.496 4.318
O 3.693 3.171 10.567
O 5.979 3.780 0.038
O 5.469 7.219 6.287
O 5.210 4.903 10.400
O 5.720 6.096 4.151
O 5.798 0.481 11.237
O 6.308 3.186 4.988
O 6.521 0.975 4.345
O 6.012 2.691 10.594
O 6.251 0.475 8.478
O 6.760 3.191 2.229
O 7.192 1.568 6.630
O 7.702 2.098 0.382
O 7.295 4.799 7.870
O 7.805 6.200 1.621
```

=====

Entry 7:
The following is a computed powder XRD pattern of CaEr4B30. It was derived from a structure optimized by DFT (GGA-PBE), using copper Kα.

Peak list (8 most intense, 10 to 90 degrees two-theta, low angle first)
Position (°2θ)  Rel. int.  h k l
21.7  64  1 0 0
30.9  100  1 1 0
38.1  42  1 1 5
44.2  22  2 0 0
49.8  50  2 1 0
54.9  27  2 1 5
68.8  28  2 2 5
73.1  20  3 1 0

```
35
Lattice="4.095 0.000 0.000 0.000 4.095 0.000 0.000 0.000 20.472" Properties=species:S:1:pos:R:3 pbc="T T T"
Ca 0.000 0.000 0.000
Er 0.000 0.000 4.097
Er 0.000 0.000 8.188
Er 0.000 0.000 12.285
Er 0.000 0.000 16.376
B 0.816 2.048 6.143
B 0.816 2.048 10.236
B 0.816 2.048 14.329
B 0.818 2.048 2.063
B 0.818 2.048 18.409
B 2.048 0.816 6.143
B 2.048 0.816 10.236
B 2.048 0.816 14.329
B 2.048 0.818 2.063
B 2.048 0.818 18.409
B 2.048 2.048 0.824
B 2.048 2.048 3.287
B 2.048 2.048 4.916
B 2.048 2.048 7.376
B 2.048 2.048 9.005
B 2.048 2.048 11.467
B 2.048 2.048 13.097
B 2.048 2.048 15.556
B 2.048 2.048 17.185
B 2.048 2.048 19.649
B 2.048 3.277 2.063
B 2.048 3.277 18.409
B 2.048 3.279 6.143
B 2.048 3.279 10.236
B 2.048 3.279 14.329
B 3.277 2.048 2.063
B 3.277 2.048 18.409
B 3.279 2.048 6.143
B 3.279 2.048 10.236
B 3.279 2.048 14.329
```